(1)
Calculated X-ray diffraction stick pattern of LiNbO for Cu Kα, from DFT lattice parameters and positions (GGA-PBE).
Lines closer than 0.1° are merged.

The 8 most intense peaks (2θ = 10–80°), in order of rising 2θ:
2θ/deg, I/Imax
13.4, 100.0
24.3, 69.4
32.3, 45.4
34.0, 39.1
41.1, 18.1
43.2, 40.3
51.6, 36.8
53.2, 22.9

Atomic structure:
abc: 2.839 13.212 4.389
angles: 90.00 90.00 90.00
Fractional coordinates of all 12 atoms:
1 Li 0.000 0.208 0.000
2 Li 0.000 0.792 0.500
3 Li 0.500 0.292 0.500
4 Li 0.500 0.708 0.000
5 Nb 0.000 0.053 0.629
6 Nb 0.000 0.947 0.129
7 Nb 0.500 0.447 0.129
8 Nb 0.500 0.553 0.629
9 O 0.000 0.330 0.205
10 O 0.000 0.670 0.705
11 O 0.500 0.170 0.705
12 O 0.500 0.830 0.205



(2)
Calculated X-ray diffraction stick pattern of Cu4Ag for Cu Kα, from DFT lattice parameters and positions (GGA-PBE).
Lines closer than 0.1° are merged.

The 8 most intense peaks (2θ = 10–80°), in order of rising 2θ:
2θ/deg, I/Imax
33.4, 5.2
41.9, 100.0
42.1, 30.3
47.9, 41.9
50.5, 18.5
70.0, 6.8
72.0, 11.3
72.4, 10.2

Atomic structure:
abc: 4.513 2.687 10.781
angles: 90.00 95.30 90.00
Fractional coordinates of all 10 atoms:
1 Cu 0.000 0.000 0.000
2 Cu 0.109 0.500 0.812
3 Cu 0.275 0.500 0.380
4 Cu 0.388 0.000 0.189
5 Cu 0.500 0.500 0.000
6 Cu 0.612 0.000 0.811
7 Cu 0.725 0.500 0.620
8 Cu 0.891 0.500 0.188
9 Ag 0.225 0.000 0.600
10 Ag 0.775 0.000 0.400



(3)
Calculated X-ray diffraction stick pattern of Y2Zr4Pb3C3 for Cu Kα, from DFT lattice parameters and positions (GGA-PBE).
Lines closer than 0.1° are merged.

The 8 most intense peaks (2θ = 10–80°), in order of rising 2θ:
2θ/deg, I/Imax
11.6, 15.5
29.6, 22.2
34.6, 100.0
35.3, 20.6
46.7, 16.0
52.5, 20.1
62.8, 11.9
64.8, 16.4

Atomic structure:
abc: 6.035 6.035 15.674
angles: 101.20 101.20 60.01
Fractional coordinates of all 24 atoms:
1 Y 0.031 0.869 0.590
2 Y 0.131 0.969 0.910
3 Y 0.869 0.031 0.090
4 Y 0.969 0.131 0.410
5 Zr 0.194 0.354 0.078
6 Zr 0.301 0.479 0.422
7 Zr 0.354 0.194 0.578
8 Zr 0.479 0.301 0.922
9 Zr 0.521 0.699 0.078
10 Zr 0.646 0.806 0.422
11 Zr 0.699 0.521 0.578
12 Zr 0.806 0.646 0.922
13 Pb 0.084 0.275 0.752
14 Pb 0.275 0.084 0.252
15 Pb 0.441 0.559 0.750
16 Pb 0.559 0.441 0.250
17 Pb 0.725 0.916 0.748
18 Pb 0.916 0.725 0.248
19 C 0.000 0.500 0.500
20 C 0.175 0.650 0.000
21 C 0.350 0.825 0.500
22 C 0.500 0.000 0.000
23 C 0.650 0.175 0.500
24 C 0.825 0.350 0.000